[1]
Starting from a structure optimized by DFT (PBE), the powder diffraction line list of Al3Pb5F19 was simulated for Cu Kα (weighted mean of Kα1 and Kα2).
Lines closer than 0.1° are merged.

Cell and atoms:
Lattice parameters (Å, degrees): 14.585 14.585 7.350 90.00 90.00 90.00
Space group I4/mcm (No. 140)
Symmetry-distinct sites (fractional):
Al  0.000  0.000  0.250 [4 per cell]
Al  0.166  0.334  0.000 [8 per cell]
Pb  0.000  0.500  0.250 [4 per cell]
Pb  0.073  0.229  0.500 [16 per cell]
F  0.000  0.000  0.000 [4 per cell]
F  0.077  0.423  0.000 [8 per cell]
F  0.088  0.088  0.250 [16 per cell]
F  0.098  0.274  0.172 [32 per cell]
F  0.107  0.393  0.500 [8 per cell]
F  0.245  0.255  0.500 [8 per cell]

Top 12 peaks for 2θ = 5–70°, sorted by position:
(2 1 1), 18.18°, I 41.9; (0 0 2), 24.22°, I 26.3; (3 2 1), 25.13°, I 75.4; (2 0 2), 27.17°, I 34.3; (4 2 0), 27.35°, I 72.1; (4 1 1), 27.99°, I 100.0; (2 2 2), 29.86°, I 62.9; (5 1 2), 39.94°, I 40.7; (3 2 3), 43.17°, I 25.2; (6 3 1), 43.40°, I 33.8; (6 0 2), 44.70°, I 35.4; (4 1 3), 45.01°, I 32.4



[2]
Starting from a structure optimized by DFT (PBE), the powder diffraction line list of K2PrAuCl6 was simulated for Cu Kα (weighted mean of Kα1 and Kα2).
Lines closer than 0.1° are merged.

Cell and atoms:
Lattice parameters (Å, degrees): 10.959 10.959 10.959 90.00 90.00 90.00
Space group Fm-3m (No. 225)
Symmetry-distinct sites (fractional):
K  0.250  0.250  0.250 [8 per cell]
Pr  0.000  0.000  0.000 [4 per cell]
Au  0.000  0.000  0.500 [4 per cell]
Cl  0.000  0.000  0.250 [24 per cell]

Top 12 peaks for 2θ = 5–70°, sorted by position:
(2 0 0), 16.18°, I 100.0; (2 2 0), 22.95°, I 98.4; (4 0 0), 32.68°, I 68.3; (4 2 0), 36.67°, I 53.7; (4 2 2), 40.32°, I 46.6; (4 4 0), 46.90°, I 46.9; (6 0 0), 49.93°, I 28.0; (6 2 0), 52.83°, I 21.4; (4 4 4), 58.33°, I 15.7; (6 4 0), 60.96°, I 12.4; (6 4 2), 63.52°, I 24.5; (8 0 0), 68.49°, I 7.2